1.
The following is a computed X-ray powder pattern of SrGaBr6. It was derived from DFT lattice parameters and positions (GGA-PBE), using copper Kα.
Peak positions follow from Bragg's law for the DFT cell and can differ from measured ones.

Most intense lines, 10° ≤ 2θ ≤ 90°, in order of rising 2θ:
| 2θ/deg | intensity |
| --- | --- |
| 14.1 | 77 |
| 16.8 | 54 |
| 25.1 | 32 |
| 26.3 | 66 |
| 30.4 | 100 |
| 30.8 | 46 |
| 33.6 | 32 |
| 39.2 | 29 |
| 43.7 | 31 |
| 46.1 | 33 |

Structural model:
Cell lengths 7.088, 12.555, 7.142 Å; angles 90.00, 109.21, 90.00 degrees
Space group C2/m (No. 12)
Symmetry-distinct sites (fractional):
Sr 0.000 0.000 0.000 x2
Ga 0.000 0.500 0.500 x2
Br 0.166 0.356 0.743 x8
Br 0.190 0.000 0.658 x4


2.
The following is a computed X-ray powder pattern of GaTcBr2. It was derived from DFT lattice parameters and positions (GGA-PBE), using copper Kα.
Peak positions follow from Bragg's law for the DFT cell and can differ from measured ones.

Most intense lines, 10° ≤ 2θ ≤ 90°, in order of rising 2θ:
| 2θ/deg | intensity |
| --- | --- |
| 19.6 | 75 |
| 20.1 | 84 |
| 27.9 | 51 |
| 28.2 | 86 |
| 31.2 | 61 |
| 38.2 | 91 |
| 40.1 | 37 |
| 44.7 | 100 |
| 48.0 | 71 |
| 56.4 | 36 |

Structural model:
Cell lengths 9.060, 9.060, 5.062 Å; angles 90.00, 90.00, 90.00 degrees
Space group I-42d (No. 122)
Symmetry-distinct sites (fractional):
Ga 0.000 0.000 0.000 x4
Tc 0.000 0.000 0.500 x4
Br 0.108 0.250 0.625 x8


3.
The following is a computed X-ray powder pattern of TiGa6Br12. It was derived from DFT lattice parameters and positions (GGA-PBE), using copper Kα.
Peak positions follow from Bragg's law for the DFT cell and can differ from measured ones.

Most intense lines, 10° ≤ 2θ ≤ 90°, in order of rising 2θ:
| 2θ/deg | intensity |
| --- | --- |
| 10.4 | 69 |
| 14.3 | 100 |
| 23.4 | 35 |
| 25.3 | 24 |
| 26.4 | 32 |
| 27.9 | 46 |
| 29.1 | 40 |
| 30.5 | 26 |
| 35.7 | 29 |
| 37.8 | 29 |

Structural model:
Cell lengths 8.291, 8.625, 10.537 Å; angles 81.75, 76.61, 81.59 degrees
Space group P1 (No. 1)
Symmetry-distinct sites (fractional):
Ti 0.000 0.000 0.000 x1
Ga 0.212 0.125 0.259 x1
Ga 0.265 0.732 0.653 x1
Ga 0.392 0.961 0.911 x1
Ga 0.569 0.023 0.101 x1
Ga 0.695 0.274 0.351 x1
Ga 0.760 0.893 0.752 x1
Br 0.040 0.589 0.674 x1
Br 0.135 0.989 0.736 x1
Br 0.179 0.233 0.995 x1
Br 0.205 0.803 0.118 x1
Br 0.400 0.800 0.436 x1
Br 0.458 0.626 0.786 x1
Br 0.489 0.380 0.231 x1
Br 0.576 0.202 0.572 x1
Br 0.766 0.195 0.910 x1
Br 0.805 0.774 0.015 x1
Br 0.823 0.021 0.262 x1
Br 0.918 0.422 0.324 x1


4.
The following is a computed X-ray powder pattern of TlGaBr5. It was derived from DFT lattice parameters and positions (GGA-PBE), using copper Kα.
Peak positions follow from Bragg's law for the DFT cell and can differ from measured ones.

Most intense lines, 10° ≤ 2θ ≤ 90°, in order of rising 2θ:
| 2θ/deg | intensity |
| --- | --- |
| 17.3 | 92 |
| 17.7 | 68 |
| 18.4 | 87 |
| 18.9 | 100 |
| 24.5 | 44 |
| 27.4 | 59 |
| 27.9 | 53 |
| 29.3 | 89 |
| 32.6 | 42 |
| 35.0 | 47 |

Structural model:
Cell lengths 7.902, 8.109, 9.907 Å; angles 103.48, 110.16, 99.89 degrees
Space group P-1 (No. 2)
Symmetry-distinct sites (fractional):
Tl 0.000 0.000 0.000 x1
Tl 0.000 0.500 0.500 x1
Ga 0.448 0.169 0.775 x2
Br 0.146 0.198 0.276 x2
Br 0.216 0.735 0.101 x2
Br 0.332 0.885 0.600 x2
Br 0.346 0.213 0.977 x2
Br 0.385 0.386 0.653 x2


5.
The following is a computed X-ray powder pattern of Tl6GaBr8. It was derived from DFT lattice parameters and positions (GGA-PBE), using copper Kα.
Peak positions follow from Bragg's law for the DFT cell and can differ from measured ones.

Most intense lines, 10° ≤ 2θ ≤ 90°, in order of rising 2θ:
| 2θ/deg | intensity |
| --- | --- |
| 18.0 | 34 |
| 22.8 | 79 |
| 27.9 | 38 |
| 31.1 | 100 |
| 31.5 | 67 |
| 33.4 | 62 |
| 39.2 | 34 |
| 40.7 | 26 |
| 42.6 | 22 |
| 51.4 | 23 |

Structural model:
Cell lengths 9.8392, 9.8392, 6.3884 Å; angles 90.00, 90.00, 120.00 degrees
Space group P-3 (No. 147)
Symmetry-distinct sites (fractional):
Tl 0.0015 0.3789 0.2667 x6
Ga 0.0000 0.0000 0.5000 x1
Br 0.0005 0.2404 0.7381 x6
Br 0.3333 0.6667 0.4998 x2


6.
The following is a computed X-ray powder pattern of TlGaBr4. It was derived from DFT lattice parameters and positions (GGA-PBE), using copper Kα.
Peak positions follow from Bragg's law for the DFT cell and can differ from measured ones.

Most intense lines, 10° ≤ 2θ ≤ 90°, in order of rising 2θ:
| 2θ/deg | intensity |
| --- | --- |
| 17.9 | 63 |
| 19.5 | 100 |
| 21.8 | 51 |
| 24.0 | 49 |
| 28.0 | 60 |
| 28.4 | 52 |
| 29.7 | 74 |
| 31.0 | 88 |
| 33.2 | 58 |
| 35.1 | 93 |

Structural model:
Cell lengths 9.062, 10.249, 12.104 Å; angles 90.00, 125.19, 90.00 degrees
Space group P2_1/c (No. 14)
Symmetry-distinct sites (fractional):
Tl 0.208 0.159 0.282 x4
Ga 0.310 0.670 0.201 x4
Br 0.120 0.644 0.624 x4
Br 0.174 0.508 0.253 x4
Br 0.345 0.608 0.028 x4
Br 0.391 0.213 0.109 x4


7.
The following is a computed X-ray powder pattern of TmGa3Br6. It was derived from DFT lattice parameters and positions (GGA-PBE), using copper Kα.
Peak positions follow from Bragg's law for the DFT cell and can differ from measured ones.

Most intense lines, 10° ≤ 2θ ≤ 90°, in order of rising 2θ:
| 2θ/deg | intensity |
| --- | --- |
| 13.3 | 100 |
| 16.0 | 50 |
| 26.5 | 45 |
| 27.9 | 54 |
| 29.2 | 40 |
| 29.9 | 52 |
| 32.4 | 53 |
| 34.4 | 61 |
| 41.0 | 49 |
| 42.6 | 45 |

Structural model:
Cell lengths 7.364, 8.370, 12.878 Å; angles 90.00, 122.01, 90.00 degrees
Space group P2_1/c (No. 14)
Symmetry-distinct sites (fractional):
Tm 0.000 0.000 0.000 x2
Ga 0.312 0.093 0.793 x4
Ga 0.500 0.000 0.500 x2
Br 0.097 0.065 0.235 x4
Br 0.250 0.726 0.084 x4
Br 0.358 0.168 0.042 x4


8.
The following is a computed X-ray powder pattern of Zn3GaBr9. It was derived from DFT lattice parameters and positions (GGA-PBE), using copper Kα.
Peak positions follow from Bragg's law for the DFT cell and can differ from measured ones.

Most intense lines, 10° ≤ 2θ ≤ 90°, in order of rising 2θ:
| 2θ/deg | intensity |
| --- | --- |
| 16.7 | 97 |
| 18.5 | 38 |
| 26.6 | 59 |
| 27.5 | 44 |
| 28.5 | 100 |
| 29.3 | 28 |
| 32.0 | 27 |
| 41.2 | 43 |
| 43.0 | 30 |
| 45.9 | 26 |

Structural model:
Cell lengths 18.082, 9.214, 13.015 Å; angles 90.00, 129.04, 90.00 degrees
Space group Cc (No. 9)
Symmetry-distinct sites (fractional):
Zn 0.000 0.059 0.000 x4
Zn 0.136 0.433 0.945 x4
Zn 0.394 0.117 0.593 x4
Ga 0.270 0.227 0.773 x4
Br 0.018 0.243 0.878 x4
Br 0.063 0.370 0.284 x4
Br 0.130 0.044 0.713 x4
Br 0.160 0.434 0.635 x4
Br 0.262 0.082 0.596 x4
Br 0.267 0.313 0.974 x4
Br 0.366 0.349 0.486 x4
Br 0.399 0.060 0.954 x4
Br 0.412 0.374 0.823 x4


9.
The following is a computed X-ray powder pattern of ZnGaBr. It was derived from DFT lattice parameters and positions (GGA-PBE), using copper Kα.
Peak positions follow from Bragg's law for the DFT cell and can differ from measured ones.

Most intense lines, 10° ≤ 2θ ≤ 90°, in order of rising 2θ:
| 2θ/deg | intensity |
| --- | --- |
| 20.4 | 50 |
| 23.5 | 76 |
| 25.3 | 36 |
| 28.9 | 58 |
| 31.1 | 100 |
| 36.5 | 60 |
| 39.1 | 49 |
| 41.4 | 55 |
| 44.4 | 37 |
| 58.3 | 28 |

Structural model:
Cell lengths 4.519, 4.978, 9.009 Å; angles 80.07, 89.11, 63.10 degrees
Space group P-1 (No. 2)
Symmetry-distinct sites (fractional):
Zn 0.165 0.263 0.109 x2
Ga 0.380 0.711 0.090 x2
Br 0.200 0.625 0.676 x2